Diffraction record for Er3Sb. The PXRD pattern is theoretical, not measured: it uses DFT lattice parameters and positions (GGA-PBE) and a wavelength of 1.5418 Å.
Peak positions follow from Bragg's law for the DFT cell and can differ from measured ones.

Principal peaks in the range 2θ = 10–90°, in order of rising 2θ:
2θ/deg, d/Å, intensity, (hkl)
29.97, 2.982, 100, 3 2 1
30.73, 2.909, 41, 3 3 0
31.21, 2.866, 68, 1 1 2
32.44, 2.760, 55, 4 2 0
33.37, 2.685, 99, 1 4 1
36.05, 2.491, 33, 2 2 2
37.14, 2.421, 35, 1 5 0
37.54, 2.396, 49, 3 1 2
52.55, 1.742, 22, 3 2 3
61.26, 1.513, 22, 7 1 2

Atomic structure:
```
data_Er3Sb
_space_group_name_H-M_alt 'I -4'
_space_group_IT_number 82
_space_group_name_Hall 'I -4'
_cell_length_a 12.3428
_cell_length_b 12.3428
_cell_length_c 6.0689
_cell_angle_alpha 90.00
_cell_angle_beta 90.00
_cell_angle_gamma 90.00
loop_
_atom_site_label
_atom_site_type_symbol
_atom_site_fract_x
_atom_site_fract_y
_atom_site_fract_z
_atom_site_occupancy
Er1 Er 0.0343 0.1430 0.2291 1
Er2 Er 0.0808 0.6081 0.0110 1
Er3 Er 0.1746 0.7160 0.5006 1
Sb1 Sb 0.0452 0.1982 0.7260 1
```